No. 1
The following is a theoretical powder diffraction line list of SmIn3Ni8. It was derived from DFT lattice parameters and positions (GGA-PBE), using Cu Kα (weighted mean of Kα1 and Kα2).
Peak positions follow from Bragg's law for the DFT cell and can differ from measured ones.

Top 12 peaks for 5° ≤ 2θ ≤ 70°, in order of rising 2θ:
two_theta	I (rel.)
35.9	54.4
36.2	54.8
42.3	54.0
42.6	100.0
42.7	52.0
44.2	10.1
44.6	33.2
64.9	18.7
65.1	9.5
69.0	10.2
69.3	23.4
69.5	21.9

Structural model:
```
SmIn3Ni8
1.0
2.483 1.434 8.196
-2.483 1.434 8.196
0.000 -2.867 8.196
Sm In Ni
1 3 8
direct
0.000 0.000 0.000
0.382 0.382 0.382
0.503 0.503 0.503
0.874 0.874 0.874
0.188 0.188 0.188
0.437 0.437 0.936
0.437 0.936 0.437
0.443 0.938 0.938
0.689 0.689 0.689
0.936 0.437 0.437
0.938 0.443 0.938
0.938 0.938 0.443
```

=====

No. 2
The following is a theoretical powder diffraction line list of CaCeMg2. It was derived from DFT lattice parameters and positions (GGA-PBE), using Cu Kα (weighted mean of Kα1 and Kα2).
Peak positions follow from Bragg's law for the DFT cell and can differ from measured ones.

Top 12 peaks for 5° ≤ 2θ ≤ 70°, in order of rising 2θ:
two_theta	I (rel.)
15.7	50.0
22.2	42.2
24.0	17.5
28.8	24.1
31.6	55.8
32.9	100.0
35.5	14.1
40.1	17.9
43.3	16.5
45.3	20.1
57.2	39.5
59.6	17.3

Structural model:
```
CaCeMg2
1.0
5.658 0.000 0.000
0.000 5.658 0.000
0.000 0.000 3.707
Ca Ce Mg
1 1 2
direct
0.000 0.000 0.000
0.500 0.500 0.000
0.000 0.500 0.500
0.500 0.000 0.500
```

=====

No. 3
The following is a theoretical powder diffraction line list of Y6IrI10. It was derived from DFT lattice parameters and positions (GGA-PBE), using Cu Kα (weighted mean of Kα1 and Kα2).
Peak positions follow from Bragg's law for the DFT cell and can differ from measured ones.

Top 12 peaks for 5° ≤ 2θ ≤ 70°, in order of rising 2θ:
two_theta	I (rel.)
9.7	39.0
10.0	37.0
24.7	98.4
24.9	32.7
27.9	100.0
28.9	99.6
29.1	96.4
40.7	35.1
40.8	67.9
41.3	33.8
41.6	34.5
50.7	34.0

Structural model:
```
Y6IrI10
1.0
7.752 0.000 0.000
-2.400 9.404 0.000
-1.132 -3.253 9.145
Y Ir I
6 1 10
direct
0.033 0.218 0.417
0.116 0.543 0.259
0.348 0.624 0.666
0.652 0.376 0.334
0.884 0.457 0.741
0.967 0.782 0.583
0.000 0.500 0.500
0.087 0.874 0.321
0.225 0.244 0.155
0.256 0.587 0.961
0.346 0.950 0.773
0.454 0.315 0.592
0.546 0.685 0.408
0.654 0.050 0.227
0.744 0.413 0.039
0.775 0.756 0.845
0.913 0.126 0.679
```

=====

No. 4
The following is a theoretical powder diffraction line list of Ac2Pm2Pr. It was derived from DFT lattice parameters and positions (GGA-PBE), using Cu Kα (weighted mean of Kα1 and Kα2).
Peak positions follow from Bragg's law for the DFT cell and can differ from measured ones.

Top 12 peaks for 5° ≤ 2θ ≤ 70°, in order of rising 2θ:
two_theta	I (rel.)
27.0	23.9
27.3	26.6
28.4	34.6
28.6	67.7
29.0	60.3
29.7	100.0
30.0	14.8
34.8	29.2
35.8	24.0
47.7	14.4
49.3	13.1
57.6	20.1

Structural model:
```
Ac2Pm2Pr
1.0
9.058 -3.428 0.000
9.058 3.428 0.000
-2.014 0.000 6.292
Ac Pm Pr
4 4 2
direct
0.047 0.339 0.196
0.339 0.047 0.696
0.661 0.953 0.304
0.953 0.661 0.804
0.292 0.530 0.340
0.470 0.708 0.160
0.530 0.292 0.840
0.708 0.470 0.660
0.082 0.918 0.750
0.918 0.082 0.250
```

=====

- Which formula does entry 4 have?
  Ac2Pm2Pr